Starting from a cell relaxed with GGA-PBE, the powder XRD pattern of Ti4AlGa was calculated for Cu Kα.

Most intense lines, 2θ from 15° to 90°, by angle:
38.79 deg, rel. 100
43.14 deg, rel. 36
48.82 deg, rel. 12
67.17 deg, rel. 18
76.17 deg, rel. 18
84.47 deg, rel. 9

Structure:
Cell: 5.043 5.043 5.936 Å, 107.10 107.10 43.42°
Atoms (fractional coordinates):
Ti: 0.164 0.164 0.332
Ti: 0.164 0.164 0.833
Ti: 0.836 0.836 0.167
Ti: 0.836 0.836 0.668
Al: 0.500 0.500 0.500
Ga: 0.500 0.500 0.000

***

Starting from a cell relaxed with GGA-PBE, the powder XRD pattern of Ca3La2Hg4 was calculated for Cu Kα.

Most intense lines, 2θ from 15° to 90°, by angle:
20.73 deg, rel. 44
31.55 deg, rel. 100
33.17 deg, rel. 93
46.47 deg, rel. 23
58.27 deg, rel. 23
59.26 deg, rel. 18

Structure:
Cell: 5.404 5.404 10.698 Å, 90.11 90.11 59.91°
Atoms (fractional coordinates):
Ca: 0.000 0.000 0.000
Ca: 0.334 0.334 0.412
Ca: 0.666 0.666 0.588
La: 0.333 0.333 0.797
La: 0.667 0.667 0.203
Hg: 0.001 0.001 0.338
Hg: 0.334 0.334 0.104
Hg: 0.666 0.666 0.896
Hg: 0.999 0.999 0.662